[1]
# ThGa6Cu4
Theoretical X-ray powder pattern, Cu Kα X-rays. Input: the GGA-PBE geometry in Alexandria.
Peak positions follow from Bragg's law for the DFT cell and can differ from measured ones.

Largest 12 diffraction maxima, by angle, 2θ = 10–90°:
- 2θ = 24.93°, rel. 13
- 2θ = 26.24°, rel. 16
- 2θ = 33.40°, rel. 44
- 2θ = 36.50°, rel. 100
- 2θ = 38.50°, rel. 46
- 2θ = 44.59°, rel. 27
- 2θ = 44.71°, rel. 12
- 2θ = 49.57°, rel. 24
- 2θ = 51.15°, rel. 22
- 2θ = 58.38°, rel. 17
- 2θ = 60.35°, rel. 25
- 2θ = 70.19°, rel. 25

```
data_ThGa6Cu4
_chemical_formula_sum 'Th1 Ga6 Cu4'
_cell_length_a 7.143
_cell_length_b 7.143
_cell_length_c 4.064
_cell_angle_alpha 90.00
_cell_angle_beta 90.00
_cell_angle_gamma 120.00
_symmetry_space_group_name_H-M 'P 1'
_symmetry_Int_Tables_number 1
_symmetry_space_group_name_Hall 'P 1'
loop_
_atom_site_label
_atom_site_type_symbol
_atom_site_fract_x
_atom_site_fract_y
_atom_site_fract_z
_atom_site_occupancy
Th1 Th 0.000 0.000 0.000 1
Ga1 Ga 0.199 0.397 0.500 1
Ga2 Ga 0.199 0.801 0.500 1
Ga3 Ga 0.535 0.070 0.000 1
Ga4 Ga 0.535 0.465 0.000 1
Ga5 Ga 0.603 0.801 0.500 1
Ga6 Ga 0.930 0.465 0.000 1
Cu1 Cu 0.333 0.667 0.000 1
Cu2 Cu 0.417 0.208 0.500 1
Cu3 Cu 0.792 0.208 0.500 1
Cu4 Cu 0.792 0.583 0.500 1
```


[2]
# Mg2TiPd6
Theoretical X-ray powder pattern, Cu Kα X-rays. Input: the GGA-PBE geometry in Alexandria.
Peak positions follow from Bragg's law for the DFT cell and can differ from measured ones.

Largest 12 diffraction maxima, by angle, 2θ = 10–90°:
- 2θ = 29.59°, rel. 30
- 2θ = 30.06°, rel. 57
- 2θ = 42.67°, rel. 100
- 2θ = 43.43°, rel. 19
- 2θ = 52.74°, rel. 12
- 2θ = 53.43°, rel. 11
- 2θ = 61.42°, rel. 7
- 2θ = 62.48°, rel. 12
- 2θ = 69.88°, rel. 10
- 2θ = 70.63°, rel. 9
- 2θ = 78.07°, rel. 13
- 2θ = 79.19°, rel. 12

```
data_Mg2TiPd6
_chemical_formula_sum 'Mg2 Ti1 Pd6'
_cell_length_a 7.256
_cell_length_b 7.256
_cell_length_c 4.242
_cell_angle_alpha 106.93
_cell_angle_beta 106.93
_cell_angle_gamma 49.18
_symmetry_space_group_name_H-M 'P 1'
_symmetry_Int_Tables_number 1
_symmetry_space_group_name_Hall 'P 1'
loop_
_atom_site_label
_atom_site_type_symbol
_atom_site_fract_x
_atom_site_fract_y
_atom_site_fract_z
_atom_site_occupancy
Mg1 Mg 0.169 0.169 0.167 1
Mg2 Mg 0.831 0.831 0.833 1
Ti1 Ti 0.500 0.500 0.500 1
Pd1 Pd 0.089 0.587 0.339 1
Pd2 Pd 0.257 0.743 0.000 1
Pd3 Pd 0.413 0.911 0.661 1
Pd4 Pd 0.587 0.089 0.339 1
Pd5 Pd 0.743 0.257 0.000 1
Pd6 Pd 0.911 0.413 0.661 1
```


[3]
# La12CeAg6
Theoretical X-ray powder pattern, Cu Kα X-rays. Input: the GGA-PBE geometry in Alexandria.
Peak positions follow from Bragg's law for the DFT cell and can differ from measured ones.

Largest 12 diffraction maxima, by angle, 2θ = 10–90°:
- 2θ = 24.28°, rel. 26
- 2θ = 31.42°, rel. 55
- 2θ = 32.36°, rel. 41
- 2θ = 32.82°, rel. 100
- 2θ = 33.83°, rel. 79
- 2θ = 34.49°, rel. 45
- 2θ = 35.14°, rel. 11
- 2θ = 35.99°, rel. 15
- 2θ = 41.34°, rel. 15
- 2θ = 48.43°, rel. 13
- 2θ = 56.19°, rel. 20
- 2θ = 60.74°, rel. 21

```
data_La12CeAg6
_chemical_formula_sum 'La12 Ce1 Ag6'
_cell_length_a 8.308
_cell_length_b 8.308
_cell_length_c 8.308
_cell_angle_alpha 88.14
_cell_angle_beta 88.14
_cell_angle_gamma 88.14
_symmetry_space_group_name_H-M 'P 1'
_symmetry_Int_Tables_number 1
_symmetry_space_group_name_Hall 'P 1'
loop_
_atom_site_label
_atom_site_type_symbol
_atom_site_fract_x
_atom_site_fract_y
_atom_site_fract_z
_atom_site_occupancy
La1 La 0.047 0.312 0.930 1
La2 La 0.070 0.953 0.688 1
La3 La 0.113 0.346 0.473 1
La4 La 0.312 0.930 0.047 1
La5 La 0.346 0.473 0.113 1
La6 La 0.473 0.113 0.346 1
La7 La 0.527 0.887 0.654 1
La8 La 0.654 0.527 0.887 1
La9 La 0.688 0.070 0.953 1
La10 La 0.887 0.654 0.527 1
La11 La 0.930 0.047 0.312 1
La12 La 0.953 0.688 0.070 1
Ce1 Ce 0.500 0.500 0.500 1
Ag1 Ag 0.241 0.757 0.389 1
Ag2 Ag 0.243 0.611 0.759 1
Ag3 Ag 0.389 0.241 0.757 1
Ag4 Ag 0.611 0.759 0.243 1
Ag5 Ag 0.757 0.389 0.241 1
Ag6 Ag 0.759 0.243 0.611 1
```


[4]
# Pm8Ge4Se3
Theoretical X-ray powder pattern, Cu Kα X-rays. Input: the GGA-PBE geometry in Alexandria.
Peak positions follow from Bragg's law for the DFT cell and can differ from measured ones.

Largest 12 diffraction maxima, by angle, 2θ = 10–90°:
- 2θ = 25.71°, rel. 13
- 2θ = 25.88°, rel. 13
- 2θ = 29.87°, rel. 100
- 2θ = 42.55°, rel. 13
- 2θ = 42.75°, rel. 50
- 2θ = 42.98°, rel. 12
- 2θ = 52.85°, rel. 13
- 2θ = 53.21°, rel. 13
- 2θ = 62.06°, rel. 12
- 2θ = 70.38°, rel. 22
- 2θ = 78.02°, rel. 8
- 2θ = 78.61°, rel. 8

```
data_Pm8Ge4Se3
_chemical_formula_sum 'Pm8 Ge4 Se3'
_cell_length_a 8.460
_cell_length_b 8.460
_cell_length_c 8.418
_cell_angle_alpha 119.82
_cell_angle_beta 119.82
_cell_angle_gamma 90.05
_symmetry_space_group_name_H-M 'P 1'
_symmetry_Int_Tables_number 1
_symmetry_space_group_name_Hall 'P 1'
loop_
_atom_site_label
_atom_site_type_symbol
_atom_site_fract_x
_atom_site_fract_y
_atom_site_fract_z
_atom_site_occupancy
Pm1 Pm 0.244 0.756 0.000 1
Pm2 Pm 0.246 0.246 0.009 1
Pm3 Pm 0.247 0.247 0.492 1
Pm4 Pm 0.252 0.748 0.500 1
Pm5 Pm 0.748 0.252 0.500 1
Pm6 Pm 0.753 0.753 0.508 1
Pm7 Pm 0.754 0.754 0.991 1
Pm8 Pm 0.756 0.244 0.000 1
Ge1 Ge 0.000 0.000 0.000 1
Ge2 Ge 0.000 0.500 0.500 1
Ge3 Ge 0.500 0.000 0.500 1
Ge4 Ge 0.500 0.500 0.500 1
Se1 Se 0.000 0.000 0.500 1
Se2 Se 0.000 0.500 0.000 1
Se3 Se 0.500 0.000 0.000 1
```


[5]
# Na2GaTcO4
Theoretical X-ray powder pattern, Cu Kα X-rays. Input: the GGA-PBE geometry in Alexandria.
Peak positions follow from Bragg's law for the DFT cell and can differ from measured ones.

Largest 12 diffraction maxima, by angle, 2θ = 10–90°:
- 2θ = 20.62°, rel. 96
- 2θ = 30.78°, rel. 53
- 2θ = 35.50°, rel. 100
- 2θ = 37.34°, rel. 27
- 2θ = 44.09°, rel. 32
- 2θ = 55.66°, rel. 11
- 2θ = 57.84°, rel. 55
- 2θ = 59.12°, rel. 11
- 2θ = 66.59°, rel. 16
- 2θ = 72.81°, rel. 13
- 2θ = 75.14°, rel. 11
- 2θ = 75.49°, rel. 8

```
data_Na2GaTcO4
_chemical_formula_sum 'Na2 Ga1 Tc1 O4'
_cell_length_a 5.212
_cell_length_b 5.212
_cell_length_c 5.212
_cell_angle_alpha 112.27
_cell_angle_beta 112.27
_cell_angle_gamma 104.01
_symmetry_space_group_name_H-M 'P 1'
_symmetry_Int_Tables_number 1
_symmetry_space_group_name_Hall 'P 1'
loop_
_atom_site_label
_atom_site_type_symbol
_atom_site_fract_x
_atom_site_fract_y
_atom_site_fract_z
_atom_site_occupancy
Na1 Na 0.000 0.000 0.000 1
Na2 Na 0.750 0.250 0.500 1
Ga1 Ga 0.250 0.750 0.500 1
Tc1 Tc 0.500 0.500 0.000 1
O1 O 0.266 0.416 0.555 1
O2 O 0.289 0.734 0.150 1
O3 O 0.584 0.139 0.850 1
O4 O 0.861 0.711 0.445 1
```


[6]
# LaPm4Er6
Theoretical X-ray powder pattern, Cu Kα X-rays. Input: the GGA-PBE geometry in Alexandria.
Peak positions follow from Bragg's law for the DFT cell and can differ from measured ones.

Largest 12 diffraction maxima, by angle, 2θ = 10–90°:
- 2θ = 24.74°, rel. 19
- 2θ = 30.00°, rel. 15
- 2θ = 31.47°, rel. 100
- 2θ = 32.58°, rel. 100
- 2θ = 35.55°, rel. 29
- 2θ = 38.06°, rel. 15
- 2θ = 45.93°, rel. 28
- 2θ = 51.58°, rel. 12
- 2θ = 54.72°, rel. 11
- 2θ = 57.43°, rel. 37
- 2θ = 58.13°, rel. 13
- 2θ = 62.35°, rel. 31

```
data_LaPm4Er6
_chemical_formula_sum 'La1 Pm4 Er6'
_cell_length_a 10.995
_cell_length_b 10.995
_cell_length_c 3.544
_cell_angle_alpha 90.00
_cell_angle_beta 90.00
_cell_angle_gamma 120.00
_symmetry_space_group_name_H-M 'P 1'
_symmetry_Int_Tables_number 1
_symmetry_space_group_name_Hall 'P 1'
loop_
_atom_site_label
_atom_site_type_symbol
_atom_site_fract_x
_atom_site_fract_y
_atom_site_fract_z
_atom_site_occupancy
La1 La 0.000 0.000 0.000 1
Pm1 Pm 0.199 0.397 0.500 1
Pm2 Pm 0.199 0.801 0.500 1
Pm3 Pm 0.603 0.801 0.500 1
Pm4 Pm 0.667 0.333 0.000 1
Er1 Er 0.345 0.172 0.500 1
Er2 Er 0.504 0.008 0.000 1
Er3 Er 0.504 0.496 0.000 1
Er4 Er 0.828 0.172 0.500 1
Er5 Er 0.828 0.655 0.500 1
Er6 Er 0.992 0.496 0.000 1
```


[7]
# WCS3
Theoretical X-ray powder pattern, Cu Kα X-rays. Input: the GGA-PBE geometry in Alexandria.
Peak positions follow from Bragg's law for the DFT cell and can differ from measured ones.

Largest 12 diffraction maxima, by angle, 2θ = 10–90°:
- 2θ = 22.19°, rel. 77
- 2θ = 31.59°, rel. 92
- 2θ = 38.94°, rel. 100
- 2θ = 45.27°, rel. 55
- 2θ = 50.98°, rel. 39
- 2θ = 56.25°, rel. 37
- 2θ = 65.96°, rel. 35
- 2θ = 70.53°, rel. 19
- 2θ = 74.97°, rel. 16
- 2θ = 79.33°, rel. 38
- 2θ = 83.62°, rel. 12
- 2θ = 87.88°, rel. 9

```
data_WCS3
_chemical_formula_sum 'W1 C1 S3'
_cell_length_a 4.006
_cell_length_b 4.006
_cell_length_c 4.006
_cell_angle_alpha 90.00
_cell_angle_beta 90.00
_cell_angle_gamma 90.00
_symmetry_space_group_name_H-M 'P 1'
_symmetry_Int_Tables_number 1
_symmetry_space_group_name_Hall 'P 1'
loop_
_atom_site_label
_atom_site_type_symbol
_atom_site_fract_x
_atom_site_fract_y
_atom_site_fract_z
_atom_site_occupancy
W1 W 0.000 0.000 0.000 1
C1 C 0.500 0.500 0.500 1
S1 S 0.000 0.500 0.500 1
S2 S 0.500 0.000 0.500 1
S3 S 0.500 0.500 0.000 1
```


[8]
# TbPm3Sc3
Theoretical X-ray powder pattern, Cu Kα X-rays. Input: the GGA-PBE geometry in Alexandria.
Peak positions follow from Bragg's law for the DFT cell and can differ from measured ones.

Largest 12 diffraction maxima, by angle, 2θ = 10–90°:
- 2θ = 19.41°, rel. 14
- 2θ = 22.02°, rel. 9
- 2θ = 24.95°, rel. 13
- 2θ = 29.26°, rel. 27
- 2θ = 32.26°, rel. 25
- 2θ = 33.51°, rel. 100
- 2θ = 44.11°, rel. 18
- 2θ = 51.89°, rel. 19
- 2θ = 58.33°, rel. 20
- 2θ = 62.44°, rel. 21
- 2θ = 63.20°, rel. 16
- 2θ = 86.10°, rel. 12

```
data_TbPm3Sc3
_chemical_formula_sum 'Tb2 Pm6 Sc6'
_cell_length_a 9.324
_cell_length_b 9.324
_cell_length_c 5.549
_cell_angle_alpha 90.00
_cell_angle_beta 90.00
_cell_angle_gamma 120.00
_symmetry_space_group_name_H-M 'P 1'
_symmetry_Int_Tables_number 1
_symmetry_space_group_name_Hall 'P 1'
loop_
_atom_site_label
_atom_site_type_symbol
_atom_site_fract_x
_atom_site_fract_y
_atom_site_fract_z
_atom_site_occupancy
Tb1 Tb 0.333 0.667 0.250 1
Tb2 Tb 0.667 0.333 0.750 1
Pm1 Pm 0.050 0.249 0.250 1
Pm2 Pm 0.199 0.950 0.250 1
Pm3 Pm 0.249 0.199 0.750 1
Pm4 Pm 0.751 0.801 0.250 1
Pm5 Pm 0.801 0.050 0.750 1
Pm6 Pm 0.950 0.751 0.750 1
Sc1 Sc 0.097 0.485 0.750 1
Sc2 Sc 0.388 0.903 0.750 1
Sc3 Sc 0.485 0.388 0.250 1
Sc4 Sc 0.515 0.612 0.750 1
Sc5 Sc 0.612 0.097 0.250 1
Sc6 Sc 0.903 0.515 0.250 1
```


[9]
# La8Tb2Nd3
Theoretical X-ray powder pattern, Cu Kα X-rays. Input: the GGA-PBE geometry in Alexandria.
Peak positions follow from Bragg's law for the DFT cell and can differ from measured ones.

Largest 12 diffraction maxima, by angle, 2θ = 10–90°:
- 2θ = 24.76°, rel. 15
- 2θ = 28.54°, rel. 17
- 2θ = 28.99°, rel. 30
- 2θ = 29.93°, rel. 86
- 2θ = 30.58°, rel. 100
- 2θ = 31.91°, rel. 28
- 2θ = 32.32°, rel. 16
- 2θ = 36.84°, rel. 20
- 2θ = 38.55°, rel. 15
- 2θ = 41.85°, rel. 12
- 2θ = 53.59°, rel. 26
- 2θ = 62.24°, rel. 12

```
data_La8Tb2Nd3
_chemical_formula_sum 'La8 Tb2 Nd3'
_cell_length_a 9.043
_cell_length_b 9.043
_cell_length_c 6.273
_cell_angle_alpha 107.13
_cell_angle_beta 107.13
_cell_angle_gamma 82.54
_symmetry_space_group_name_H-M 'P 1'
_symmetry_Int_Tables_number 1
_symmetry_space_group_name_Hall 'P 1'
loop_
_atom_site_label
_atom_site_type_symbol
_atom_site_fract_x
_atom_site_fract_y
_atom_site_fract_z
_atom_site_occupancy
La1 La 0.049 0.049 0.291 1
La2 La 0.064 0.588 0.830 1
La3 La 0.358 0.358 0.438 1
La4 La 0.412 0.936 0.170 1
La5 La 0.588 0.064 0.830 1
La6 La 0.642 0.642 0.562 1
La7 La 0.936 0.412 0.170 1
La8 La 0.951 0.951 0.709 1
Tb1 Tb 0.213 0.213 0.825 1
Tb2 Tb 0.787 0.787 0.175 1
Nd1 Nd 0.253 0.747 0.500 1
Nd2 Nd 0.500 0.500 0.000 1
Nd3 Nd 0.747 0.253 0.500 1
```


[10]
# Hf3Si3Ir
Theoretical X-ray powder pattern, Cu Kα X-rays. Input: the GGA-PBE geometry in Alexandria.
Peak positions follow from Bragg's law for the DFT cell and can differ from measured ones.

Largest 12 diffraction maxima, by angle, 2θ = 10–90°:
- 2θ = 24.55°, rel. 28
- 2θ = 31.06°, rel. 23
- 2θ = 35.30°, rel. 28
- 2θ = 35.65°, rel. 100
- 2θ = 35.77°, rel. 20
- 2θ = 36.33°, rel. 23
- 2θ = 37.47°, rel. 22
- 2θ = 40.77°, rel. 23
- 2θ = 43.56°, rel. 38
- 2θ = 46.21°, rel. 33
- 2θ = 61.12°, rel. 16
- 2θ = 69.76°, rel. 16

```
data_Hf3Si3Ir
_chemical_formula_sum 'Hf6 Si6 Ir2'
_cell_length_a 5.394
_cell_length_b 5.394
_cell_length_c 12.735
_cell_angle_alpha 108.95
_cell_angle_beta 108.95
_cell_angle_gamma 42.71
_symmetry_space_group_name_H-M 'P 1'
_symmetry_Int_Tables_number 1
_symmetry_space_group_name_Hall 'P 1'
loop_
_atom_site_label
_atom_site_type_symbol
_atom_site_fract_x
_atom_site_fract_y
_atom_site_fract_z
_atom_site_occupancy
Hf1 Hf 0.014 0.014 0.372 1
Hf2 Hf 0.108 0.108 0.921 1
Hf3 Hf 0.242 0.242 0.223 1
Hf4 Hf 0.758 0.758 0.777 1
Hf5 Hf 0.892 0.892 0.079 1
Hf6 Hf 0.986 0.986 0.628 1
Si1 Si 0.377 0.377 0.450 1
Si2 Si 0.385 0.385 0.926 1
Si3 Si 0.470 0.470 0.768 1
Si4 Si 0.530 0.530 0.232 1
Si5 Si 0.615 0.615 0.074 1
Si6 Si 0.623 0.623 0.550 1
Ir1 Ir 0.263 0.263 0.593 1
Ir2 Ir 0.737 0.737 0.407 1
```


[11]
# Na3Pu3AuS8
Theoretical X-ray powder pattern, Cu Kα X-rays. Input: the GGA-PBE geometry in Alexandria.
Peak positions follow from Bragg's law for the DFT cell and can differ from measured ones.

Largest 12 diffraction maxima, by angle, 2θ = 10–90°:
- 2θ = 13.26°, rel. 100
- 2θ = 26.28°, rel. 38
- 2θ = 26.71°, rel. 14
- 2θ = 26.87°, rel. 16
- 2θ = 27.38°, rel. 25
- 2θ = 31.58°, rel. 54
- 2θ = 32.00°, rel. 25
- 2θ = 34.31°, rel. 16
- 2θ = 41.07°, rel. 14
- 2θ = 44.71°, rel. 19
- 2θ = 45.26°, rel. 19
- 2θ = 46.43°, rel. 18

```
data_Na3Pu3AuS8
_chemical_formula_sum 'Na3 Pu3 Au1 S8'
_cell_length_a 7.827
_cell_length_b 7.827
_cell_length_c 8.025
_cell_angle_alpha 118.47
_cell_angle_beta 118.47
_cell_angle_gamma 61.59
_symmetry_space_group_name_H-M 'P 1'
_symmetry_Int_Tables_number 1
_symmetry_space_group_name_Hall 'P 1'
loop_
_atom_site_label
_atom_site_type_symbol
_atom_site_fract_x
_atom_site_fract_y
_atom_site_fract_z
_atom_site_occupancy
Na1 Na 0.000 0.000 0.000 1
Na2 Na 0.000 0.500 0.000 1
Na3 Na 0.500 0.000 0.000 1
Pu1 Pu 0.000 0.500 0.500 1
Pu2 Pu 0.500 0.000 0.500 1
Pu3 Pu 0.500 0.500 0.500 1
Au1 Au 0.000 0.000 0.500 1
S1 S 0.221 0.221 0.705 1
S2 S 0.254 0.254 0.270 1
S3 S 0.256 0.723 0.731 1
S4 S 0.277 0.744 0.269 1
S5 S 0.723 0.256 0.731 1
S6 S 0.744 0.277 0.269 1
S7 S 0.746 0.746 0.730 1
S8 S 0.779 0.779 0.295 1
```